Record 1
Starting from a DFT-relaxed cell (PBE, Alexandria), the PXRD pattern of Cr4W was computed for copper Kα.
Intensities are scaled so that the largest is 100.

Crystal structure
```
data_Cr4W
_space_group_name_H-M_alt 'I 4/m'
_space_group_IT_number 87
_space_group_name_Hall '-I 4'
_cell_length_a 6.548
_cell_length_b 6.548
_cell_length_c 2.939
_cell_angle_alpha 90.00
_cell_angle_beta 90.00
_cell_angle_gamma 90.00
loop_
_atom_site_label
_atom_site_type_symbol
_atom_site_fract_x
_atom_site_fract_y
_atom_site_fract_z
_atom_site_occupancy
Cr1 Cr 0.100 0.307 0.000 1
W1 W 0.000 0.000 0.500 1
```

Peak list (10 most intense, 2θ = 10–90°, in order of falling intensity)
- 2θ = 43.7°, intensity 100, hkl 2 1 1
- 2θ = 19.2°, intensity 22, hkl 1 1 0
- 2θ = 80.3°, intensity 19, hkl 5 0 1
- 2θ = 33.4°, intensity 14, hkl 1 0 1
- 2θ = 27.2°, intensity 12, hkl 2 0 0
- 2θ = 80.1°, intensity 11, hkl 1 3 2
- 2θ = 63.5°, intensity 10, hkl 4 2 0
- 2θ = 59.9°, intensity 7, hkl 2 3 1
- 2θ = 63.3°, intensity 5, hkl 0 0 2
- 2θ = 38.9°, intensity 5, hkl 2 2 0

=====

Record 2
Starting from a DFT-relaxed cell (PBE, Alexandria), the PXRD pattern of Cr3W was computed for copper Kα.
Intensities are scaled so that the largest is 100.

Crystal structure
```
data_Cr3W
_space_group_name_H-M_alt 'P 4/m m m'
_space_group_IT_number 123
_space_group_name_Hall '-P 4 2'
_cell_length_a 4.176
_cell_length_b 4.176
_cell_length_c 2.972
_cell_angle_alpha 90.00
_cell_angle_beta 90.00
_cell_angle_gamma 90.00
loop_
_atom_site_label
_atom_site_type_symbol
_atom_site_fract_x
_atom_site_fract_y
_atom_site_fract_z
_atom_site_occupancy
Cr1 Cr 0.000 0.000 0.000 1
Cr2 Cr 0.000 0.500 0.500 1
W1 W 0.500 0.500 0.000 1
```

Peak list (10 most intense, 2θ = 10–90°, in order of falling intensity)
- 2θ = 43.2°, intensity 100, hkl 1 1 1
- 2θ = 43.3°, intensity 49, hkl 2 0 0
- 2θ = 21.3°, intensity 42, hkl 1 0 0
- 2θ = 79.4°, intensity 31, hkl 3 1 1
- 2θ = 37.1°, intensity 22, hkl 1 0 1
- 2θ = 30.3°, intensity 18, hkl 1 1 0
- 2θ = 79.1°, intensity 16, hkl 2 0 2
- 2θ = 62.9°, intensity 15, hkl 2 2 0
- 2θ = 58.4°, intensity 13, hkl 2 1 1
- 2θ = 48.8°, intensity 10, hkl 2 1 0

=====

Record 3
Starting from a DFT-relaxed cell (PBE, Alexandria), the PXRD pattern of CrW7 was computed for copper Kα.
Intensities are scaled so that the largest is 100.

Crystal structure
```
data_CrW7
_space_group_name_H-M_alt 'R -3 m'
_space_group_IT_number 166
_space_group_name_Hall '-R 3 2"'
_cell_length_a 8.9133
_cell_length_b 8.9133
_cell_length_c 10.9526
_cell_angle_alpha 90.00
_cell_angle_beta 90.00
_cell_angle_gamma 120.00
loop_
_atom_site_label
_atom_site_type_symbol
_atom_site_fract_x
_atom_site_fract_y
_atom_site_fract_z
_atom_site_occupancy
Cr1 Cr 0.0000 0.0000 0.1246 1
W1 W 0.0000 0.0000 0.3730 1
W2 W 0.0028 0.5014 0.8744 1
W3 W 0.0035 0.5018 0.6245 1
```

Peak list (10 most intense, 2θ = 10–90°, in order of falling intensity)
- 2θ = 40.4°, intensity 100, hkl 2 2 0
- 2θ = 73.6°, intensity 26, hkl 6 0 0
- 2θ = 58.5°, intensity 17, hkl 4 0 4
- 2θ = 73.4°, intensity 9, hkl 2 0 8
- 2θ = 87.3°, intensity 6, hkl 0 4 8
- 2θ = 87.6°, intensity 6, hkl 4 4 0
- 2θ = 19.9°, intensity 3, hkl 1 1 0
- 2θ = 31.7°, intensity 2, hkl 2 1 1
- 2θ = 14.0°, intensity 2, hkl 1 0 1
- 2θ = 24.4°, intensity 1, hkl 0 2 1

=====

Record 4
Starting from a DFT-relaxed cell (PBE, Alexandria), the PXRD pattern of CrW was computed for copper Kα.
Intensities are scaled so that the largest is 100.

Crystal structure
```
data_CrW
_space_group_name_H-M_alt 'C 1 m 1'
_space_group_IT_number 8
_cell_length_a 9.582
_cell_length_b 3.044
_cell_length_c 6.084
_cell_angle_alpha 90.00
_cell_angle_beta 108.47
_cell_angle_gamma 90.00
loop_
_space_group_symop_operation_xyz
'x,y,z'
'x,-y,z'
'x+1/2,y+1/2,z'
'x+1/2,-y+1/2,z'
loop_
_atom_site_label
_atom_site_type_symbol
_atom_site_fract_x
_atom_site_fract_y
_atom_site_fract_z
_atom_site_occupancy
Cr1 Cr 0.000 0.000 0.000 1
Cr2 Cr 0.001 0.000 0.511 1
Cr3 Cr 0.162 0.500 0.835 1
W1 W 0.159 0.500 0.335 1
W2 W 0.333 0.000 0.165 1
W3 W 0.336 0.000 0.678 1
```

Peak list (10 most intense, 2θ = 10–90°, in order of falling intensity)
- 2θ = 42.0°, intensity 100, hkl 3 1 0
- 2θ = 76.8°, intensity 26, hkl 4 2 -2
- 2θ = 42.1°, intensity 20, hkl 4 0 -2
- 2θ = 31.0°, intensity 20, hkl 2 0 -2
- 2θ = 60.9°, intensity 13, hkl 0 2 0
- 2θ = 77.0°, intensity 13, hkl 7 1 -2
- 2θ = 19.5°, intensity 11, hkl 2 0 0
- 2θ = 61.2°, intensity 6, hkl 6 0 0
- 2θ = 59.2°, intensity 6, hkl 5 1 -2
- 2θ = 15.4°, intensity 6, hkl 0 0 1

=====

Record 5
Starting from a DFT-relaxed cell (PBE, Alexandria), the PXRD pattern of Cr2W was computed for copper Kα.
Intensities are scaled so that the largest is 100.

Crystal structure
```
data_Cr2W
_space_group_name_H-M_alt 'C 1 2/m 1'
_space_group_IT_number 12
_cell_length_a 9.369
_cell_length_b 2.996
_cell_length_c 5.967
_cell_angle_alpha 90.00
_cell_angle_beta 107.76
_cell_angle_gamma 90.00
loop_
_space_group_symop_operation_xyz
'x,y,z'
'-x,-y,-z'
'-x,y,-z'
'x,-y,z'
'x+1/2,y+1/2,z'
'-x+1/2,-y+1/2,-z'
'-x+1/2,y+1/2,-z'
'x+1/2,-y+1/2,z'
loop_
_atom_site_label
_atom_site_type_symbol
_atom_site_fract_x
_atom_site_fract_y
_atom_site_fract_z
_atom_site_occupancy
Cr1 Cr 0.000 0.000 0.000 1
Cr2 Cr 0.000 0.000 0.500 1
Cr3 Cr 0.166 0.500 0.338 1
W1 W 0.163 0.500 0.824 1
```

Peak list (10 most intense, 2θ = 10–90°, in order of falling intensity)
- 2θ = 42.8°, intensity 100, hkl 3 1 0
- 2θ = 21.2°, intensity 29, hkl 2 0 -1
- 2θ = 42.6°, intensity 25, hkl 2 0 2
- 2θ = 43.3°, intensity 24, hkl 4 0 -2
- 2θ = 78.1°, intensity 16, hkl 2 2 2
- 2θ = 36.7°, intensity 15, hkl 1 1 1
- 2θ = 31.5°, intensity 11, hkl 0 0 2
- 2θ = 15.6°, intensity 10, hkl 0 0 1
- 2θ = 78.6°, intensity 8, hkl 4 2 -2
- 2θ = 62.0°, intensity 8, hkl 0 2 0

=====

Record 6
Starting from a DFT-relaxed cell (PBE, Alexandria), the PXRD pattern of Cr7W was computed for copper Kα.
Intensities are scaled so that the largest is 100.

Crystal structure
```
data_Cr7W
_space_group_name_H-M_alt 'R -3 m'
_space_group_IT_number 166
_space_group_name_Hall '-R 3 2"'
_cell_length_a 8.1997
_cell_length_b 8.1997
_cell_length_c 10.0953
_cell_angle_alpha 90.00
_cell_angle_beta 90.00
_cell_angle_gamma 120.00
loop_
_atom_site_label
_atom_site_type_symbol
_atom_site_fract_x
_atom_site_fract_y
_atom_site_fract_z
_atom_site_occupancy
Cr1 Cr 0.0000 0.0000 0.1210 1
Cr2 Cr 0.0036 0.5018 0.8732 1
Cr3 Cr 0.0050 0.5025 0.6238 1
W1 W 0.0000 0.0000 0.3704 1
```

Peak list (10 most intense, 2θ = 10–90°, in order of falling intensity)
- 2θ = 44.0°, intensity 100, hkl 0 2 4
- 2θ = 44.2°, intensity 99, hkl 2 2 0
- 2θ = 21.7°, intensity 33, hkl 1 1 0
- 2θ = 64.1°, intensity 30, hkl 4 0 4
- 2θ = 81.2°, intensity 29, hkl 2 4 4
- 2θ = 15.3°, intensity 29, hkl 1 0 1
- 2θ = 34.5°, intensity 26, hkl 1 1 3
- 2θ = 81.3°, intensity 15, hkl 6 0 0
- 2θ = 80.8°, intensity 15, hkl 2 0 8
- 2θ = 47.0°, intensity 10, hkl 3 0 3

=====

Record 7
Starting from a DFT-relaxed cell (PBE, Alexandria), the PXRD pattern of YCrW was computed for copper Kα.
Intensities are scaled so that the largest is 100.

Crystal structure
```
data_YCrW
_space_group_name_H-M_alt 'P 1 m 1'
_space_group_IT_number 6
_cell_length_a 5.310
_cell_length_b 4.164
_cell_length_c 5.650
_cell_angle_alpha 90.00
_cell_angle_beta 104.72
_cell_angle_gamma 90.00
loop_
_space_group_symop_operation_xyz
'x,y,z'
'x,-y,z'
loop_
_atom_site_label
_atom_site_type_symbol
_atom_site_fract_x
_atom_site_fract_y
_atom_site_fract_z
_atom_site_occupancy
Y1 Y 0.000 0.000 0.000 1
Y2 Y 0.492 0.500 0.898 1
Cr1 Cr 0.133 0.000 0.524 1
Cr2 Cr 0.875 0.500 0.508 1
W1 W 0.304 0.500 0.363 1
W2 W 0.610 0.000 0.440 1
```

Peak list (10 most intense, 2θ = 10–90°, in order of falling intensity)
- 2θ = 16.2°, intensity 100, hkl 0 0 1
- 2θ = 34.4°, intensity 87, hkl 1 1 1
- 2θ = 41.0°, intensity 73, hkl 2 1 -1
- 2θ = 32.8°, intensity 62, hkl 0 0 2
- 2θ = 41.3°, intensity 53, hkl 2 1 0
- 2θ = 43.5°, intensity 50, hkl 0 2 0
- 2θ = 27.6°, intensity 44, hkl 1 1 0
- 2θ = 33.0°, intensity 34, hkl 1 0 -2
- 2θ = 20.5°, intensity 32, hkl 1 0 -1
- 2θ = 62.4°, intensity 32, hkl 1 1 3

=====

Record 8
Starting from a DFT-relaxed cell (PBE, Alexandria), the PXRD pattern of YCrW was computed for copper Kα.
Intensities are scaled so that the largest is 100.

Crystal structure
```
data_YCrW
_space_group_name_H-M_alt 'P 3 m 1'
_space_group_IT_number 156
_cell_length_a 4.5240
_cell_length_b 4.5240
_cell_length_c 3.1759
_cell_angle_alpha 90.00
_cell_angle_beta 90.00
_cell_angle_gamma 120.00
loop_
_space_group_symop_operation_xyz
'x,y,z'
'-y,x-y,z'
'-x+y,-x,z'
'-y,-x,z'
'-x+y,y,z'
'x,x-y,z'
loop_
_atom_site_label
_atom_site_type_symbol
_atom_site_fract_x
_atom_site_fract_y
_atom_site_fract_z
_atom_site_occupancy
Y1 Y 0.0000 0.0000 0.0000 1
Cr1 Cr 0.6667 0.3333 0.3919 1
W1 W 0.3333 0.6667 0.5844 1
```

Peak list (10 most intense, 2θ = 10–90°, in order of falling intensity)
- 2θ = 36.4°, intensity 100, hkl 1 0 1
- 2θ = 39.9°, intensity 70, hkl 1 1 0
- 2θ = 22.7°, intensity 35, hkl 1 0 0
- 2θ = 55.1°, intensity 30, hkl 0 2 1
- 2θ = 70.1°, intensity 29, hkl 2 1 1
- 2θ = 63.2°, intensity 14, hkl 0 1 2
- 2θ = 72.4°, intensity 12, hkl 3 0 0
- 2θ = 49.5°, intensity 11, hkl 1 1 1
- 2θ = 72.8°, intensity 11, hkl 1 1 2
- 2θ = 28.1°, intensity 8, hkl 0 0 1

=====

Record 9
Starting from a DFT-relaxed cell (PBE, Alexandria), the PXRD pattern of ZnCrW was computed for copper Kα.
Intensities are scaled so that the largest is 100.

Crystal structure
```
data_ZnCrW
_space_group_name_H-M_alt 'F m m 2'
_space_group_IT_number 42
_space_group_name_Hall 'F 2 -2'
_cell_length_a 3.101
_cell_length_b 4.280
_cell_length_c 12.914
_cell_angle_alpha 90.00
_cell_angle_beta 90.00
_cell_angle_gamma 90.00
loop_
_atom_site_label
_atom_site_type_symbol
_atom_site_fract_x
_atom_site_fract_y
_atom_site_fract_z
_atom_site_occupancy
Zn1 Zn 0.000 0.000 0.000 1
Cr1 Cr 0.000 0.000 0.662 1
W1 W 0.000 0.000 0.322 1
```

Peak list (10 most intense, 2θ = 10–90°, in order of falling intensity)
- 2θ = 41.6°, intensity 100, hkl 1 1 3
- 2θ = 13.7°, intensity 51, hkl 0 0 2
- 2θ = 42.2°, intensity 24, hkl 0 2 0
- 2θ = 42.0°, intensity 24, hkl 0 0 6
- 2θ = 36.5°, intensity 23, hkl 1 1 1
- 2θ = 76.8°, intensity 16, hkl 1 3 3
- 2θ = 61.1°, intensity 15, hkl 0 2 6
- 2θ = 76.5°, intensity 15, hkl 1 1 9
- 2θ = 27.6°, intensity 14, hkl 0 0 4
- 2θ = 59.6°, intensity 9, hkl 2 0 0

=====

Record 10
Starting from a DFT-relaxed cell (PBE, Alexandria), the PXRD pattern of Y4Cr was computed for copper Kα.
Intensities are scaled so that the largest is 100.

Crystal structure
```
data_Y4Cr
_space_group_name_H-M_alt 'P m -3 m'
_space_group_IT_number 221
_space_group_name_Hall '-P 4 2 3'
_cell_length_a 5.377
_cell_length_b 5.377
_cell_length_c 5.377
_cell_angle_alpha 90.00
_cell_angle_beta 90.00
_cell_angle_gamma 90.00
loop_
_atom_site_label
_atom_site_type_symbol
_atom_site_fract_x
_atom_site_fract_y
_atom_site_fract_z
_atom_site_occupancy
Y1 Y 0.000 0.000 0.000 1
Y2 Y 0.000 0.500 0.500 1
Cr1 Cr 0.500 0.500 0.500 1
```

Peak list (10 most intense, 2θ = 10–90°, in order of falling intensity)
- 2θ = 28.8°, intensity 100, hkl 1 1 1
- 2θ = 33.3°, intensity 92, hkl 2 0 0
- 2θ = 47.8°, intensity 64, hkl 2 2 0
- 2θ = 56.8°, intensity 43, hkl 3 1 1
- 2θ = 79.8°, intensity 27, hkl 4 2 0
- 2θ = 59.6°, intensity 22, hkl 2 2 2
- 2θ = 89.2°, intensity 21, hkl 4 2 2
- 2θ = 77.4°, intensity 17, hkl 3 3 1
- 2θ = 70.0°, intensity 10, hkl 4 0 0
- 2θ = 16.5°, intensity 9, hkl 1 0 0

=====

Record 11
Starting from a DFT-relaxed cell (PBE, Alexandria), the PXRD pattern of YCr was computed for copper Kα.
Intensities are scaled so that the largest is 100.

Crystal structure
```
data_YCr
_space_group_name_H-M_alt 'C 1 2/m 1'
_space_group_IT_number 12
_cell_length_a 11.051
_cell_length_b 3.766
_cell_length_c 6.649
_cell_angle_alpha 90.00
_cell_angle_beta 90.48
_cell_angle_gamma 90.00
loop_
_space_group_symop_operation_xyz
'x,y,z'
'-x,-y,-z'
'-x,y,-z'
'x,-y,z'
'x+1/2,y+1/2,z'
'-x+1/2,-y+1/2,-z'
'-x+1/2,y+1/2,-z'
'x+1/2,-y+1/2,z'
loop_
_atom_site_label
_atom_site_type_symbol
_atom_site_fract_x
_atom_site_fract_y
_atom_site_fract_z
_atom_site_occupancy
Y1 Y 0.000 0.000 0.000 1
Y2 Y 0.215 0.500 0.724 1
Cr1 Cr 0.000 0.000 0.500 1
Cr2 Cr 0.071 0.500 0.327 1
```

Peak list (10 most intense, 2θ = 10–90°, in order of falling intensity)
- 2θ = 28.4°, intensity 100, hkl 1 1 -1
- 2θ = 31.5°, intensity 69, hkl 2 0 2
- 2θ = 36.8°, intensity 68, hkl 3 1 1
- 2θ = 34.0°, intensity 63, hkl 3 1 0
- 2θ = 37.0°, intensity 62, hkl 1 1 2
- 2θ = 48.3°, intensity 62, hkl 0 2 0
- 2θ = 36.9°, intensity 45, hkl 1 1 -2
- 2θ = 36.6°, intensity 41, hkl 3 1 -1
- 2θ = 32.4°, intensity 39, hkl 4 0 0
- 2θ = 35.1°, intensity 37, hkl 4 0 -1

=====

Record 12
Starting from a DFT-relaxed cell (PBE, Alexandria), the PXRD pattern of YCr was computed for copper Kα.
Intensities are scaled so that the largest is 100.

Crystal structure
```
data_YCr
_space_group_name_H-M_alt 'P 21 21 21'
_space_group_IT_number 19
_cell_length_a 5.681
_cell_length_b 5.801
_cell_length_c 11.049
_cell_angle_alpha 90.00
_cell_angle_beta 90.00
_cell_angle_gamma 90.00
loop_
_space_group_symop_operation_xyz
'x,y,z'
'-x+1/2,-y,z+1/2'
'x+1/2,-y+1/2,-z'
'-x,y+1/2,-z+1/2'
loop_
_atom_site_label
_atom_site_type_symbol
_atom_site_fract_x
_atom_site_fract_y
_atom_site_fract_z
_atom_site_occupancy
Y1 Y 0.116 0.080 0.481 1
Y2 Y 0.121 0.642 0.681 1
Cr1 Cr 0.098 0.595 0.389 1
Cr2 Cr 0.109 0.853 0.226 1
```

Peak list (10 most intense, 2θ = 10–90°, in order of falling intensity)
- 2θ = 32.8°, intensity 100, hkl 1 1 3
- 2θ = 39.5°, intensity 86, hkl 0 2 3
- 2θ = 32.5°, intensity 83, hkl 2 0 1
- 2θ = 38.9°, intensity 61, hkl 2 1 2
- 2θ = 36.2°, intensity 56, hkl 1 0 4
- 2θ = 35.7°, intensity 55, hkl 1 2 1
- 2θ = 28.7°, intensity 51, hkl 0 1 3
- 2θ = 34.7°, intensity 41, hkl 1 2 0
- 2θ = 27.3°, intensity 40, hkl 1 1 2
- 2θ = 31.9°, intensity 29, hkl 0 2 1

=====

Record 13
Starting from a DFT-relaxed cell (PBE, Alexandria), the PXRD pattern of Y2Zn2Cr was computed for copper Kα.
Intensities are scaled so that the largest is 100.

Crystal structure
```
data_Y2Zn2Cr
_space_group_name_H-M_alt 'P 4/m b m'
_space_group_IT_number 127
_space_group_name_Hall '-P 4 2ab'
_cell_length_a 7.051
_cell_length_b 7.051
_cell_length_c 4.469
_cell_angle_alpha 90.00
_cell_angle_beta 90.00
_cell_angle_gamma 90.00
loop_
_atom_site_label
_atom_site_type_symbol
_atom_site_fract_x
_atom_site_fract_y
_atom_site_fract_z
_atom_site_occupancy
Y1 Y 0.178 0.322 0.000 1
Zn1 Zn 0.127 0.627 0.500 1
Cr1 Cr 0.000 0.000 0.500 1
```

Peak list (10 most intense, 2θ = 10–90°, in order of falling intensity)
- 2θ = 34.8°, intensity 100, hkl 2 1 1
- 2θ = 40.4°, intensity 48, hkl 0 0 2
- 2θ = 32.3°, intensity 31, hkl 2 0 1
- 2θ = 58.5°, intensity 17, hkl 3 1 2
- 2θ = 69.8°, intensity 12, hkl 2 1 3
- 2θ = 57.7°, intensity 11, hkl 4 1 1
- 2θ = 55.2°, intensity 8, hkl 3 3 0
- 2θ = 75.7°, intensity 7, hkl 5 2 1
- 2θ = 46.4°, intensity 7, hkl 3 2 0
- 2θ = 71.4°, intensity 7, hkl 5 1 1

=====

Record 14
Starting from a DFT-relaxed cell (PBE, Alexandria), the PXRD pattern of ZnCr2 was computed for copper Kα.
Intensities are scaled so that the largest is 100.

Crystal structure
Lattice parameters (Å, degrees): 6.774 6.774 6.774 90.00 90.00 90.00
Space group Fd-3m (No. 227, origin choice 2)
One atom of each set of equivalent atoms:
Zn (0.125, 0.125, 0.125) (multiplicity 8)
Cr (0.000, 0.000, 0.500) (multiplicity 16)

Peak list (7 most intense, 2θ = 10–90°, in order of falling intensity)
- 2θ = 44.4°, intensity 100, hkl 3 1 1
- 2θ = 37.6°, intensity 39, hkl 2 2 0
- 2θ = 46.4°, intensity 30, hkl 2 2 2
- 2θ = 72.5°, intensity 27, hkl 5 1 1
- 2θ = 80.2°, intensity 22, hkl 4 4 0
- 2θ = 67.8°, intensity 13, hkl 4 2 2
- 2θ = 54.2°, intensity 1, hkl 4 0 0

=====

Record 15
Starting from a DFT-relaxed cell (PBE, Alexandria), the PXRD pattern of ZnCr was computed for copper Kα.
Intensities are scaled so that the largest is 100.

Crystal structure
```
data_ZnCr
_space_group_name_H-M_alt 'I m m a'
_space_group_IT_number 74
_space_group_name_Hall '-I 2b 2'
_cell_length_a 2.964
_cell_length_b 4.319
_cell_length_c 8.189
_cell_angle_alpha 90.00
_cell_angle_beta 90.00
_cell_angle_gamma 90.00
loop_
_atom_site_label
_atom_site_type_symbol
_atom_site_fract_x
_atom_site_fract_y
_atom_site_fract_z
_atom_site_occupancy
Zn1 Zn 0.000 0.250 0.121 1
Cr1 Cr 0.000 0.250 0.651 1
```

Peak list (10 most intense, 2θ = 10–90°, in order of falling intensity)
- 2θ = 43.1°, intensity 100, hkl 1 1 2
- 2θ = 41.8°, intensity 29, hkl 0 2 0
- 2θ = 44.2°, intensity 20, hkl 0 0 4
- 2θ = 77.3°, intensity 15, hkl 1 3 2
- 2θ = 62.5°, intensity 13, hkl 0 2 4
- 2θ = 80.6°, intensity 9, hkl 1 1 6
- 2θ = 62.7°, intensity 8, hkl 2 0 0
- 2θ = 78.2°, intensity 8, hkl 2 2 0
- 2θ = 39.0°, intensity 7, hkl 0 1 3
- 2θ = 79.9°, intensity 6, hkl 2 0 4